For Al3Cu3Si, a structure optimized by DFT (PBE) gives the computed powder diffraction line list in this record (Cu Kα (λ = 1.5418 Å)).
Peak positions follow from Bragg's law for the DFT cell and can differ from measured ones.

Peak list (10 most intense, 2θ = 5–70°, sorted by position)
d 7.996, 11.06°, I = 57, hkl 0 0 1
d 5.234, 16.94°, I = 36, hkl 0 1 1
d 3.114, 28.67°, I = 37, hkl 1 1 1
d 2.782, 32.17°, I = 34, hkl 1 0 2
d 2.456, 36.58°, I = 100, hkl 1 2 1
d 2.093, 43.22°, I = 44, hkl 1 1 3
d 1.999, 45.38°, I = 67, hkl 0 3 2
d 1.937, 46.91°, I = 39, hkl 2 0 0
d 1.923, 47.27°, I = 30, hkl 0 1 4
d 1.391, 67.32°, I = 38, hkl 2 3 2

Structural model:
Lattice parameters (Å, degrees): 3.8738 6.9228 7.9963 90.00 90.00 90.00
Space group Pmmn (No. 59, origin choice 2)
Unique sites:
1 Al 0.2500 0.0474 0.1101 (multiplicity 4)
2 Al 0.2500 0.2500 0.5230 (multiplicity 2)
3 Cu 0.2500 0.2500 0.8434 (multiplicity 2)
4 Cu 0.2500 0.5661 0.3918 (multiplicity 4)
5 Si 0.2500 0.7500 0.6974 (multiplicity 2)


For AlCu2Si, a structure optimized by DFT (PBE) gives the computed powder diffraction line list in this record (Cu Kα (λ = 1.5418 Å)).
Peak positions follow from Bragg's law for the DFT cell and can differ from measured ones.

Peak list (10 most intense, 2θ = 5–70°, sorted by position)
d 4.255, 20.88°, I = 54, hkl 1 0 1
d 3.844, 23.14°, I = 79, hkl 0 0 6
d 2.155, 41.92°, I = 90, hkl 0 2 1
d 2.127, 42.49°, I = 29, hkl 2 0 2
d 2.095, 43.17°, I = 100, hkl 1 1 6
d 2.026, 44.72°, I = 38, hkl 0 2 4
d 1.960, 46.33°, I = 92, hkl 2 0 5
d 1.922, 47.29°, I = 40, hkl 0 0 12
d 1.809, 50.44°, I = 36, hkl 0 2 7
d 1.351, 69.59°, I = 23, hkl 0 3 6

Structural model:
Lattice parameters (Å, degrees): 4.9988 4.9988 23.0656 90.00 90.00 120.00
Space group R-3m (No. 166, hexagonal axes)
Unique sites:
1 Al 0.0000 0.0000 0.0000 (multiplicity 3)
2 Al 0.0000 0.0000 0.1412 (multiplicity 6)
3 Cu 0.0057 0.5028 0.9134 (multiplicity 18)
4 Si 0.0000 0.0000 0.3335 (multiplicity 6)
5 Si 0.0000 0.0000 0.5000 (multiplicity 3)